This entry pairs a crystal structure of CrGaAs2O8 with its computed powder X-ray diffraction pattern. Radiation: λ = 1.5418 Å (Cu Kα). Structure: a DFT-relaxed cell (PBE+U, Alexandria).
Peak positions follow from Bragg's law for the DFT cell and can differ from measured ones.

```
data_CrGaAs2O8
_cell_length_a 6.521
_cell_length_b 6.521
_cell_length_c 6.251
_cell_angle_alpha 90.00
_cell_angle_beta 90.00
_cell_angle_gamma 90.00
_symmetry_space_group_name_H-M 'I -4 m 2'
_symmetry_Int_Tables_number 119
_symmetry_space_group_name_Hall 'I -4 -2'
loop_
_atom_site_label
_atom_site_type_symbol
_atom_site_fract_x
_atom_site_fract_y
_atom_site_fract_z
Cr1 Cr 0.000 0.000 0.000
Ga1 Ga 0.000 0.500 0.250
As1 As 0.000 0.000 0.500
As2 As 0.000 0.500 0.750
O1 O 0.000 0.193 0.312
O2 O 0.000 0.310 0.943
```

The 6 most intense peaks (2θ from 5° to 70°), sorted by position:
2theta	Rel. int.	h k l
27.4	100	2 0 0
34.7	71	1 1 2
39.1	15	2 2 0
53.2	61	3 1 2
56.4	16	4 0 0
68.0	19	3 3 2